Starting from a PBE-relaxed structure, the X-ray powder pattern of Dy8Y3Pu was calculated for Cu Kα.
Lines closer than 0.1° are merged.

Most intense lines, 10° ≤ 2θ ≤ 90°, sorted by position:
(1 0 1), 2θ 12.9, I = 585
(1 1 0), 2θ 14.5, I = 685
(2 1 1), 2θ 24.4, I = 707
(2 2 0), 2θ 29.3, I = 756
(0 0 4), 2θ 31.5, I = 577
(2 1 3), 2θ 33.2, I = 494
(2 2 2), 2θ 33.4, I = 434
(1 1 4), 2θ 34.9, I = 436
(3 1 2), 2θ 36.5, I = 1000
(4 0 2), 2θ 45.0, I = 632

Atomic structure:
```
data_Dy8Y3Pu
_cell_length_a 8.627
_cell_length_b 8.627
_cell_length_c 11.348
_cell_angle_alpha 90.00
_cell_angle_beta 90.00
_cell_angle_gamma 90.00
_space_group_name_H-M_alt 'I -4 2 m'
_space_group_IT_number 121
_space_group_name_Hall 'I -4 2'
loop_
_atom_site_label
_atom_site_type_symbol
_atom_site_fract_x
_atom_site_fract_y
_atom_site_fract_z
Dy1 Dy 0.126 0.126 0.232
Dy2 Dy 0.230 0.230 0.967
Y1 Y 0.000 0.000 0.500
Y2 Y 0.000 0.500 0.250
Pu1 Pu 0.000 0.000 0.000
```



Starting from a PBE-relaxed structure, the X-ray powder pattern of Dy12Y2Pu was calculated for Cu Kα.
Lines closer than 0.1° are merged.

Most intense lines, 10° ≤ 2θ ≤ 90°, sorted by position:
(1 0 2), 2θ 26.2, I = 153
(1 0 5), 2θ 29.8, I = 181
(0 2 0), 2θ 32.0, I = 1000
(1 1 4), 2θ 32.6, I = 364
(1 1 5), 2θ 33.9, I = 119
(1 1 7), 2θ 37.2, I = 258
(1 2 5), 2θ 44.3, I = 123
(0 3 9), 2θ 57.0, I = 170
(2 2 0), 2θ 62.6, I = 305
(2 3 9), 2θ 81.0, I = 127

Atomic structure:
```
data_Dy12Y2Pu
_cell_length_a 3.501
_cell_length_b 5.601
_cell_length_c 29.078
_cell_angle_alpha 90.00
_cell_angle_beta 90.00
_cell_angle_gamma 90.00
_space_group_name_H-M_alt 'P m m m'
_space_group_IT_number 47
loop_
_space_group_symop_operation_xyz
'x,y,z'
'-x,-y,-z'
'-x,-y,z'
'x,y,-z'
'x,-y,-z'
'-x,y,z'
'-x,y,-z'
'x,-y,z'
loop_
_atom_site_label
_atom_site_type_symbol
_atom_site_fract_x
_atom_site_fract_y
_atom_site_fract_z
Dy1 Dy 0.000 0.000 0.061
Dy2 Dy 0.000 0.000 0.376
Dy3 Dy 0.500 0.000 0.166
Dy4 Dy 0.500 0.000 0.275
Dy5 Dy 0.500 0.500 0.104
Dy6 Dy 0.500 0.500 0.332
Y1 Y 0.000 0.500 0.221
Pu1 Pu 0.000 0.500 0.000
```



Starting from a PBE-relaxed structure, the X-ray powder pattern of Dy12Y7Pu was calculated for Cu Kα.
Lines closer than 0.1° are merged.

Most intense lines, 10° ≤ 2θ ≤ 90°, sorted by position:
(2 0 0), 2θ 15.7, I = 167
(2 2 2), 2θ 27.4, I = 1000
(4 0 0), 2θ 31.8, I = 942
(4 4 0), 2θ 45.5, I = 692
(6 2 2), 2θ 54.0, I = 460
(4 4 4), 2θ 56.6, I = 241
(8 0 0), 2θ 66.3, I = 111
(6 6 2), 2θ 73.2, I = 184
(8 4 0), 2θ 75.4, I = 304
(8 4 4), 2θ 84.2, I = 230

Atomic structure:
```
data_Dy12Y7Pu
_cell_length_a 11.272
_cell_length_b 11.272
_cell_length_c 11.272
_cell_angle_alpha 90.00
_cell_angle_beta 90.00
_cell_angle_gamma 90.00
_space_group_name_H-M_alt 'I m -3 m'
_space_group_IT_number 229
_space_group_name_Hall '-I 4 2 3'
loop_
_atom_site_label
_atom_site_type_symbol
_atom_site_fract_x
_atom_site_fract_y
_atom_site_fract_z
Dy1 Dy 0.000 0.246 0.246
Y1 Y 0.000 0.000 0.500
Y2 Y 0.250 0.250 0.250
Pu1 Pu 0.000 0.000 0.000
```



Starting from a PBE-relaxed structure, the X-ray powder pattern of Dy2Y4Pu was calculated for Cu Kα.
Lines closer than 0.1° are merged.

Most intense lines, 10° ≤ 2θ ≤ 90°, sorted by position:
(1 0 1), 2θ 12.7, I = 1000
(1 1 0), 2θ 14.7, I = 183
(2 0 0), 2θ 20.8, I = 983
(1 0 3), 2θ 24.6, I = 221
(0 0 4), 2θ 29.8, I = 246
(3 0 1), 2θ 32.3, I = 326
(3 1 2), 2θ 36.5, I = 581
(2 0 4), 2θ 36.6, I = 253
(3 0 3), 2θ 38.8, I = 290
(3 3 2), 2θ 47.6, I = 314

Atomic structure:
```
data_Dy2Y4Pu
_cell_length_a 8.544
_cell_length_b 8.544
_cell_length_c 11.987
_cell_angle_alpha 90.00
_cell_angle_beta 90.00
_cell_angle_gamma 90.00
_space_group_name_H-M_alt 'I 4/m m m'
_space_group_IT_number 139
_space_group_name_Hall '-I 4 2'
loop_
_atom_site_label
_atom_site_type_symbol
_atom_site_fract_x
_atom_site_fract_y
_atom_site_fract_z
Dy1 Dy 0.000 0.500 0.250
Y1 Y 0.000 0.316 0.000
Pu1 Pu 0.000 0.000 0.000
```



Starting from a PBE-relaxed structure, the X-ray powder pattern of Dy10Y6Pu was calculated for Cu Kα.
Lines closer than 0.1° are merged.

Most intense lines, 10° ≤ 2θ ≤ 90°, sorted by position:
(1 1 1), 2θ 22.6, I = 86
(2 0 1), 2θ 25.1, I = 78
(2 1 1), 2θ 31.3, I = 305
(2 -1 2), 2θ 32.2, I = 1000
(2 2 2), 2θ 46.2, I = 156
(5 -2 1), 2θ 49.5, I = 111
(1 1 4), 2θ 57.5, I = 210
(4 0 3), 2θ 60.4, I = 96
(5 1 1), 2θ 63.7, I = 80
(7 -2 2), 2θ 76.8, I = 80

Atomic structure:
```
data_Dy10Y6Pu
_cell_length_a 9.6236
_cell_length_b 9.6236
_cell_length_c 6.7936
_cell_angle_alpha 90.00
_cell_angle_beta 90.00
_cell_angle_gamma 120.00
_space_group_name_H-M_alt 'P -3 1 m'
_space_group_IT_number 162
_space_group_name_Hall '-P 3 2'
loop_
_atom_site_label
_atom_site_type_symbol
_atom_site_fract_x
_atom_site_fract_y
_atom_site_fract_z
Dy1 Dy 0.0000 0.2683 0.1874
Dy2 Dy 0.3333 0.6667 0.0000
Dy3 Dy 0.3333 0.6667 0.5000
Y1 Y 0.0000 0.3778 0.6995
Pu1 Pu 0.0000 0.0000 0.5000
```



Starting from a PBE-relaxed structure, the X-ray powder pattern of Dy7Y12Pu was calculated for Cu Kα.
Lines closer than 0.1° are merged.

Most intense lines, 10° ≤ 2θ ≤ 90°, sorted by position:
(1 1 0), 2θ 11.3, I = 306
(0 0 3), 2θ 29.4, I = 300
(3 2 1), 2θ 30.4, I = 1000
(4 -1 2), 2θ 30.9, I = 186
(5 -3 2), 2θ 35.0, I = 834
(3 2 4), 2θ 49.7, I = 234
(1 7 0), 2θ 51.0, I = 267
(8 -1 3), 2θ 59.9, I = 173
(10 -6 1), 2θ 60.5, I = 150
(6 4 2), 2θ 63.3, I = 124

Atomic structure:
```
data_Dy7Y12Pu
_cell_length_a 15.6231
_cell_length_b 15.6231
_cell_length_c 9.1087
_cell_angle_alpha 90.00
_cell_angle_beta 90.00
_cell_angle_gamma 120.00
_space_group_name_H-M_alt 'R -3'
_space_group_IT_number 148
_space_group_name_Hall '-R 3'
loop_
_atom_site_label
_atom_site_type_symbol
_atom_site_fract_x
_atom_site_fract_y
_atom_site_fract_z
Dy1 Dy 0.0000 0.0000 0.0000
Dy2 Dy 0.0132 0.1566 0.2039
Y1 Y 0.0265 0.2643 0.8556
Y2 Y 0.0703 0.5664 0.1567
Pu1 Pu 0.0000 0.0000 0.5000
```



Starting from a PBE-relaxed structure, the X-ray powder pattern of DyPu2Zn was calculated for Cu Kα.
Lines closer than 0.1° are merged.

Most intense lines, 10° ≤ 2θ ≤ 90°, sorted by position:
(1 0 0), 2θ 26.8, I = 107
(1 0 1), 2θ 28.5, I = 116
(0 0 3), 2θ 28.9, I = 107
(1 0 2), 2θ 33.1, I = 1000
(1 1 0), 2θ 38.2, I = 384
(0 0 4), 2θ 38.8, I = 112
(2 0 0), 2θ 55.1, I = 135
(1 1 4), 2θ 55.6, I = 160
(1 0 5), 2θ 56.8, I = 125
(2 1 2), 2θ 65.8, I = 282

Atomic structure:
```
data_DyPu2Zn
_cell_length_a 3.331
_cell_length_b 3.331
_cell_length_c 9.282
_cell_angle_alpha 90.00
_cell_angle_beta 90.00
_cell_angle_gamma 90.00
_space_group_name_H-M_alt 'P 4/m m m'
_space_group_IT_number 123
_space_group_name_Hall '-P 4 2'
loop_
_atom_site_label
_atom_site_type_symbol
_atom_site_fract_x
_atom_site_fract_y
_atom_site_fract_z
Dy1 Dy 0.000 0.000 0.000
Pu1 Pu 0.500 0.500 0.283
Zn1 Zn 0.000 0.000 0.500
```



Starting from a PBE-relaxed structure, the X-ray powder pattern of RbDyS4 was calculated for Cu Kα.
Lines closer than 0.1° are merged.

Most intense lines, 10° ≤ 2θ ≤ 90°, sorted by position:
(0 0 1), 2θ 10.6, I = 469
(1 1 0), 2θ 21.1, I = 422
(2 0 0), 2θ 30.0, I = 345
(1 1 2), 2θ 30.2, I = 1000
(2 0 2), 2θ 37.1, I = 393
(3 1 0), 2θ 48.3, I = 289
(2 2 2), 2θ 48.4, I = 183
(1 1 4), 2θ 48.8, I = 161
(3 1 2), 2θ 53.4, I = 178
(3 1 4), 2θ 67.0, I = 151

Atomic structure:
```
data_RbDyS4
_cell_length_a 5.962
_cell_length_b 5.962
_cell_length_c 8.320
_cell_angle_alpha 90.00
_cell_angle_beta 90.00
_cell_angle_gamma 90.00
_space_group_name_H-M_alt 'P 4/n b m'
_space_group_IT_number 125
loop_
_space_group_symop_operation_xyz
'x,y,z'
'-x,-y,-z'
'-y+1/2,x,z'
'y+1/2,-x,-z'
'-x+1/2,-y+1/2,z'
'x+1/2,y+1/2,-z'
'y,-x+1/2,z'
'-y,x+1/2,-z'
'x,-y+1/2,-z'
'-x,y+1/2,z'
'-y+1/2,-x+1/2,-z'
'y+1/2,x+1/2,z'
'-x+1/2,y,-z'
'x+1/2,-y,z'
'y,x,-z'
'-y,-x,z'
loop_
_atom_site_label
_atom_site_type_symbol
_atom_site_fract_x
_atom_site_fract_y
_atom_site_fract_z
Rb1 Rb 0.250 0.250 0.000
Dy1 Dy 0.250 0.250 0.500
S1 S 0.125 0.625 0.305
```



Starting from a PBE-relaxed structure, the X-ray powder pattern of Rb2DySi2S6 was calculated for Cu Kα.
Lines closer than 0.1° are merged.

Most intense lines, 10° ≤ 2θ ≤ 90°, sorted by position:
(1 1 0), 2θ 15.0, I = 540
(1 1 1), 2θ 22.8, I = 726
(0 2 0), 2θ 24.9, I = 448
(3 1 -1), 2θ 25.1, I = 862
(1 1 -2), 2θ 26.1, I = 713
(4 0 -1), 2θ 29.5, I = 317
(2 2 -2), 2θ 33.8, I = 1000
(4 0 0), 2θ 34.4, I = 353
(2 2 1), 2θ 36.7, I = 352
(5 1 -3), 2θ 42.6, I = 412

Atomic structure:
```
data_Rb2DySi2S6
_cell_length_a 12.280
_cell_length_b 7.147
_cell_length_c 7.981
_cell_angle_alpha 90.00
_cell_angle_beta 121.91
_cell_angle_gamma 90.00
_space_group_name_H-M_alt 'C 1 2/m 1'
_space_group_IT_number 12
loop_
_space_group_symop_operation_xyz
'x,y,z'
'-x,-y,-z'
'-x,y,-z'
'x,-y,z'
'x+1/2,y+1/2,z'
'-x+1/2,-y+1/2,-z'
'-x+1/2,y+1/2,-z'
'x+1/2,-y+1/2,z'
loop_
_atom_site_label
_atom_site_type_symbol
_atom_site_fract_x
_atom_site_fract_y
_atom_site_fract_z
Rb1 Rb 0.217 0.000 0.209
Dy1 Dy 0.000 0.000 0.500
Si1 Si 0.043 0.500 0.189
S1 S 0.041 0.254 0.786
S2 S 0.243 0.500 0.333
```



Starting from a PBE-relaxed structure, the X-ray powder pattern of Rb2DyZn2S4 was calculated for Cu Kα.
Lines closer than 0.1° are merged.

Most intense lines, 10° ≤ 2θ ≤ 90°, sorted by position:
(0 0 1), 2θ 11.8, I = 973
(1 1 0), 2θ 23.5, I = 403
(0 0 2), 2θ 23.8, I = 574
(3 1 -1), 2θ 28.7, I = 1000
(4 0 1), 2θ 31.1, I = 599
(1 1 -2), 2θ 31.9, I = 585
(3 1 -2), 2θ 33.0, I = 793
(3 1 1), 2θ 34.3, I = 777
(0 2 0), 2θ 46.4, I = 432
(3 1 3), 2θ 52.8, I = 512

Atomic structure:
```
data_Rb2DyZn2S4
_cell_length_a 15.939
_cell_length_b 3.914
_cell_length_c 8.116
_cell_angle_alpha 90.00
_cell_angle_beta 113.00
_cell_angle_gamma 90.00
_space_group_name_H-M_alt 'C 1 2/m 1'
_space_group_IT_number 12
loop_
_space_group_symop_operation_xyz
'x,y,z'
'-x,-y,-z'
'-x,y,-z'
'x,-y,z'
'x+1/2,y+1/2,z'
'-x+1/2,-y+1/2,-z'
'-x+1/2,y+1/2,-z'
'x+1/2,-y+1/2,z'
loop_
_atom_site_label
_atom_site_type_symbol
_atom_site_fract_x
_atom_site_fract_y
_atom_site_fract_z
Rb1 Rb 0.129 0.000 0.059
Dy1 Dy 0.000 0.000 0.500
Zn1 Zn 0.183 0.500 0.521
S1 S 0.034 0.500 0.293
S2 S 0.186 0.000 0.701
```



Starting from a PBE-relaxed structure, the X-ray powder pattern of RbDy3Se4 was calculated for Cu Kα.
Lines closer than 0.1° are merged.

Most intense lines, 10° ≤ 2θ ≤ 90°, sorted by position:
(1 0 3), 2θ 26.4, I = 239
(1 0 4), 2θ 27.6, I = 174
(1 0 5), 2θ 29.2, I = 505
(1 0 6), 2θ 30.9, I = 1000
(1 0 7), 2θ 32.9, I = 295
(1 0 11), 2θ 42.3, I = 361
(1 1 0), 2θ 43.6, I = 664
(1 0 12), 2θ 45.0, I = 254
(2 0 6), 2θ 54.4, I = 201
(1 1 18), 2θ 74.2, I = 177

Atomic structure:
```
data_RbDy3Se4
_cell_length_a 4.1545
_cell_length_b 4.1545
_cell_length_c 29.1970
_cell_angle_alpha 90.00
_cell_angle_beta 90.00
_cell_angle_gamma 120.00
_space_group_name_H-M_alt 'P 63/m m c'
_space_group_IT_number 194
_space_group_name_Hall '-P 6c 2c'
loop_
_atom_site_label
_atom_site_type_symbol
_atom_site_fract_x
_atom_site_fract_y
_atom_site_fract_z
Rb1 Rb 0.3333 0.6667 0.2500
Dy1 Dy 0.0000 0.0000 0.0000
Dy2 Dy 0.3333 0.6667 0.6122
Se1 Se 0.0000 0.0000 0.1662
Se2 Se 0.3333 0.6667 0.0560
```



Starting from a PBE-relaxed structure, the X-ray powder pattern of Rb3Sm3DySe8 was calculated for Cu Kα.
Lines closer than 0.1° are merged.

Most intense lines, 10° ≤ 2θ ≤ 90°, sorted by position:
(0 0 1), 2θ 10.8, I = 462
(4 0 0), 2θ 28.3, I = 1000
(2 2 -3), 2θ 35.3, I = 175
(2 2 2), 2θ 38.2, I = 338
(0 4 0), 2θ 42.5, I = 356
(2 2 3), 2θ 47.6, I = 103
(4 4 0), 2θ 51.8, I = 182
(8 0 0), 2θ 58.5, I = 98
(6 2 2), 2θ 63.1, I = 102
(10 2 -2), 2θ 69.2, I = 152

Atomic structure:
```
data_Rb3Sm3DySe8
_cell_length_a 14.736
_cell_length_b 8.500
_cell_length_c 9.549
_cell_angle_alpha 90.00
_cell_angle_beta 121.02
_cell_angle_gamma 90.00
_space_group_name_H-M_alt 'C 1 2/m 1'
_space_group_IT_number 12
loop_
_space_group_symop_operation_xyz
'x,y,z'
'-x,-y,-z'
'-x,y,-z'
'x,-y,z'
'x+1/2,y+1/2,z'
'-x+1/2,-y+1/2,-z'
'-x+1/2,y+1/2,-z'
'x+1/2,-y+1/2,z'
loop_
_atom_site_label
_atom_site_type_symbol
_atom_site_fract_x
_atom_site_fract_y
_atom_site_fract_z
Rb1 Rb 0.000 0.000 0.000
Rb2 Rb 0.250 0.250 0.000
Sm1 Sm 0.000 0.500 0.500
Sm2 Sm 0.250 0.250 0.500
Dy1 Dy 0.000 0.000 0.500
Se1 Se 0.017 0.246 0.306
Se2 Se 0.229 0.000 0.694
Se3 Se 0.233 0.500 0.699
```